(1)
Simulated powder XRD pattern
Compound: Ho3Sc3Ni4
Radiation: Cu Kα
Structure: a crystal structure in Alexandria, relaxed with PBE

Main lines, by angle (5° ≤ 2θ ≤ 70°):
| 2theta | d [Å] | I (rel.) |
| --- | --- | --- |
| 12.2 | 7.281 | 19 |
| 17.2 | 5.160 | 20 |
| 24.5 | 3.641 | 21 |
| 29.6 | 3.014 | 49 |
| 34.5 | 2.602 | 69 |
| 34.9 | 2.568 | 18 |
| 36.7 | 2.450 | 100 |
| 39.1 | 2.306 | 50 |
| 39.2 | 2.299 | 44 |
| 46.4 | 1.957 | 28 |
| 49.0 | 1.859 | 24 |
| 64.4 | 1.447 | 42 |

```
Ho3Sc3Ni4
1.0
3.719 0.000 0.000
0.000 5.137 5.161
0.000 -5.137 5.161
Ho Sc Ni
3 3 4
Cartesian
0.000 0.000 0.000 Ho
1.859 -2.532 6.143 Ho
1.859 2.532 6.143 Ho
0.000 -1.627 3.564 Sc
0.000 1.627 3.564 Sc
0.000 0.000 7.006 Sc
1.859 0.000 2.327 Ni
1.859 0.000 4.884 Ni
1.859 -1.336 8.637 Ni
1.859 1.336 8.637 Ni
```

***

(2)
Simulated powder XRD pattern
Compound: MgZnRu2
Radiation: Cu Kα
Structure: a crystal structure in Alexandria, relaxed with PBE

Main lines, by angle (5° ≤ 2θ ≤ 70°):
| 2theta | d [Å] | I (rel.) |
| --- | --- | --- |
| 19.1 | 4.641 | 36 |
| 25.3 | 3.514 | 13 |
| 33.2 | 2.697 | 10 |
| 39.5 | 2.282 | 100 |
| 40.7 | 2.219 | 46 |
| 40.8 | 2.214 | 45 |
| 46.4 | 1.957 | 63 |
| 47.1 | 1.928 | 28 |
| 66.0 | 1.415 | 11 |
| 68.2 | 1.375 | 18 |
| 68.4 | 1.372 | 17 |
| 69.4 | 1.354 | 11 |

```
MgZnRu2
1.0
4.502 -1.415 0.000
4.502 1.415 0.000
-0.787 0.000 4.641
Mg Zn Ru
1 1 2
Cartesian
0.000 0.000 0.000 Mg
1.578 0.000 3.568 Zn
4.072 0.000 2.289 Ru
6.595 0.000 1.343 Ru
```

***

(3)
Simulated powder XRD pattern
Compound: Ce4SeS3
Radiation: Cu Kα
Structure: a crystal structure in Alexandria, relaxed with PBE

Main lines, by angle (5° ≤ 2θ ≤ 70°):
| 2theta | d [Å] | I (rel.) |
| --- | --- | --- |
| 25.4 | 3.512 | 13 |
| 25.9 | 3.445 | 2 |
| 28.9 | 3.093 | 100 |
| 32.3 | 2.775 | 3 |
| 36.5 | 2.459 | 47 |
| 45.6 | 1.989 | 32 |
| 46.9 | 1.936 | 24 |
| 52.1 | 1.756 | 6 |
| 52.9 | 1.731 | 11 |
| 54.9 | 1.673 | 16 |
| 59.8 | 1.546 | 11 |
| 67.5 | 1.387 | 8 |

```
Ce4SeS3
1.0
3.978 0.000 0.000
-1.989 3.445 0.000
0.000 0.000 14.048
Ce Se S
4 1 3
Cartesian
0.000 2.297 5.112 Ce
0.000 2.297 12.324 Ce
1.989 1.148 1.724 Ce
1.989 1.148 8.937 Ce
0.000 0.000 7.024 Se
0.000 0.000 0.000 S
0.000 0.000 3.431 S
0.000 0.000 10.617 S
```

***

(4)
Simulated powder XRD pattern
Compound: BeFe3
Radiation: Cu Kα
Structure: a crystal structure in Alexandria, relaxed with PBE

Main lines, by angle (5° ≤ 2θ ≤ 70°):
| 2theta | d [Å] | I (rel.) |
| --- | --- | --- |
| 11.7 | 7.558 | 61 |
| 23.5 | 3.779 | 14 |
| 35.6 | 2.519 | 7 |
| 42.7 | 2.119 | 32 |
| 44.4 | 2.040 | 16 |
| 48.2 | 1.890 | 23 |
| 49.3 | 1.848 | 100 |
| 56.8 | 1.622 | 6 |
| 66.3 | 1.410 | 15 |

```
BeFe3
1.0
2.447 0.000 0.000
-1.223 2.119 0.000
0.000 0.000 7.558
Be Fe
1 3
Cartesian
0.000 0.000 0.000 Be
0.000 0.000 3.779 Fe
1.223 0.706 1.859 Fe
1.223 0.706 5.700 Fe
```

***

(5)
Simulated powder XRD pattern
Compound: SrCd9Pd2
Radiation: Cu Kα
Structure: a crystal structure in Alexandria, relaxed with PBE

Main lines, by angle (5° ≤ 2θ ≤ 70°):
| 2theta | d [Å] | I (rel.) |
| --- | --- | --- |
| 13.7 | 6.443 | 20 |
| 29.6 | 3.014 | 19 |
| 33.4 | 2.679 | 72 |
| 33.9 | 2.642 | 54 |
| 35.9 | 2.504 | 27 |
| 38.4 | 2.342 | 19 |
| 39.1 | 2.305 | 31 |
| 39.9 | 2.259 | 100 |
| 41.5 | 2.177 | 38 |
| 60.4 | 1.532 | 22 |
| 64.8 | 1.439 | 16 |
| 67.1 | 1.394 | 14 |

```
SrCd9Pd2
1.0
-5.908 5.908 3.843
5.908 -5.908 3.843
5.908 5.908 -3.843
Sr Cd Pd
2 18 4
Cartesian
5.908 2.954 0.961 Sr
0.000 2.954 2.882 Sr
5.908 -2.954 2.882 Cd
4.476 -0.576 1.412 Cd
7.339 -0.576 1.412 Cd
2.377 1.522 0.510 Cd
9.438 1.522 0.510 Cd
4.476 5.331 -1.412 Cd
1.432 -0.576 2.431 Cd
2.377 4.386 0.510 Cd
3.530 -1.522 4.353 Cd
2.377 7.429 -0.510 Cd
3.530 1.522 3.333 Cd
4.476 6.484 1.412 Cd
1.432 0.576 5.255 Cd
-3.530 4.386 3.333 Cd
3.530 4.386 3.333 Cd
-1.432 6.484 2.431 Cd
1.432 6.484 2.431 Cd
0.000 8.861 0.961 Cd
0.000 0.000 0.000 Pd
2.954 2.954 -1.922 Pd
2.954 -2.954 1.922 Pd
0.000 5.908 0.000 Pd
```

***

(6)
Simulated powder XRD pattern
Compound: MnCuCSeN
Radiation: Cu Kα
Structure: a crystal structure in Alexandria, relaxed with PBE

Main lines, by angle (5° ≤ 2θ ≤ 70°):
| 2theta | d [Å] | I (rel.) |
| --- | --- | --- |
| 17.7 | 5.001 | 59 |
| 21.6 | 4.122 | 87 |
| 24.9 | 3.578 | 100 |
| 29.5 | 3.024 | 30 |
| 31.4 | 2.847 | 55 |
| 35.9 | 2.500 | 35 |
| 39.9 | 2.260 | 44 |
| 42.4 | 2.132 | 33 |
| 43.2 | 2.096 | 64 |
| 45.5 | 1.994 | 56 |
| 45.7 | 1.985 | 66 |
| 52.1 | 1.756 | 31 |

```
MnCuCSeN
1.0
3.971 0.000 0.000
1.979 4.146 0.000
0.008 0.545 5.001
Mn Cu C Se N
1 1 1 1 1
Cartesian
0.000 0.000 0.000 Mn
1.991 0.951 3.266 Cu
1.985 4.448 3.060 C
1.985 1.653 0.264 Se
1.978 4.167 1.876 N
```

***

(7)
Simulated powder XRD pattern
Compound: Dy2In8Co
Radiation: Cu Kα
Structure: a crystal structure in Alexandria, relaxed with PBE

Main lines, by angle (5° ≤ 2θ ≤ 70°):
| 2theta | d [Å] | I (rel.) |
| --- | --- | --- |
| 28.4 | 3.138 | 9 |
| 31.2 | 2.865 | 47 |
| 35.4 | 2.535 | 100 |
| 36.9 | 2.434 | 23 |
| 39.2 | 2.296 | 56 |
| 40.6 | 2.220 | 8 |
| 55.0 | 1.670 | 29 |
| 56.7 | 1.624 | 19 |
| 66.2 | 1.413 | 11 |
| 68.1 | 1.377 | 16 |
| 68.6 | 1.367 | 28 |
| 69.6 | 1.351 | 14 |

```
Dy2In8Co
1.0
4.593 0.000 0.000
0.000 4.593 0.000
0.000 0.000 12.168
Dy In Co
2 8 1
Cartesian
0.000 0.000 2.352 Dy
0.000 0.000 9.815 Dy
0.000 2.296 0.000 In
0.000 2.296 4.638 In
0.000 2.296 7.530 In
2.296 0.000 0.000 In
2.296 0.000 4.638 In
2.296 0.000 7.530 In
2.296 2.296 2.332 In
2.296 2.296 9.835 In
0.000 0.000 6.084 Co
```

***

(8)
Simulated powder XRD pattern
Compound: Ta4Nb5W3
Radiation: Cu Kα
Structure: a crystal structure in Alexandria, relaxed with PBE

Main lines, by angle (5° ≤ 2θ ≤ 70°):
| 2theta | d [Å] | I (rel.) |
| --- | --- | --- |
| 14.3 | 6.203 | 24 |
| 35.2 | 2.549 | 27 |
| 36.4 | 2.469 | 90 |
| 36.9 | 2.437 | 38 |
| 38.3 | 2.352 | 100 |
| 38.7 | 2.326 | 33 |
| 39.6 | 2.274 | 58 |
| 41.5 | 2.177 | 27 |
| 47.3 | 1.922 | 23 |
| 51.5 | 1.773 | 18 |
| 52.8 | 1.734 | 27 |
| 66.7 | 1.402 | 20 |

```
Ta4Nb5W3
1.0
6.778 -2.469 0.000
6.778 2.469 0.000
-3.827 0.000 6.698
Ta Nb W
4 5 3
Cartesian
-0.593 0.000 2.794 Ta
1.961 0.000 4.143 Ta
7.768 0.000 2.555 Ta
10.322 0.000 3.904 Ta
-0.682 0.000 5.797 Nb
4.850 0.000 2.015 Nb
6.778 0.000 0.000 Nb
4.879 0.000 4.683 Nb
10.410 0.000 0.901 Nb
0.000 0.000 0.000 W
2.174 0.000 1.537 W
7.554 0.000 5.161 W
```

***

(9)
Simulated powder XRD pattern
Compound: LiCePr2Te4
Radiation: Cu Kα
Structure: a crystal structure in Alexandria, relaxed with PBE

Main lines, by angle (5° ≤ 2θ ≤ 70°):
| 2theta | d [Å] | I (rel.) |
| --- | --- | --- |
| 12.1 | 7.323 | 6 |
| 14.0 | 6.335 | 4 |
| 23.3 | 3.818 | 8 |
| 28.2 | 3.167 | 100 |
| 30.7 | 2.909 | 5 |
| 40.2 | 2.243 | 38 |
| 40.3 | 2.236 | 38 |
| 49.7 | 1.835 | 7 |
| 49.9 | 1.827 | 20 |
| 58.3 | 1.584 | 13 |
| 65.9 | 1.418 | 17 |
| 66.1 | 1.415 | 17 |

```
LiCePr2Te4
1.0
7.746 0.000 0.000
0.000 4.471 0.000
-2.581 0.000 7.339
Li Ce Pr Te
1 1 2 4
Cartesian
0.000 0.000 0.000 Li
3.873 2.236 0.000 Ce
-1.291 2.236 3.670 Pr
2.582 0.000 3.670 Pr
1.237 2.236 1.739 Te
-0.063 0.000 5.570 Te
5.227 0.000 1.769 Te
3.928 2.236 5.600 Te
```

***

(10)
Simulated powder XRD pattern
Compound: KThTlI6
Radiation: Cu Kα
Structure: a crystal structure in Alexandria, relaxed with PBE

Main lines, by angle (5° ≤ 2θ ≤ 70°):
| 2theta | d [Å] | I (rel.) |
| --- | --- | --- |
| 13.4 | 6.632 | 53 |
| 17.0 | 5.201 | 64 |
| 24.0 | 3.702 | 100 |
| 26.9 | 3.316 | 21 |
| 32.3 | 2.774 | 91 |
| 34.1 | 2.627 | 28 |
| 36.1 | 2.485 | 52 |
| 36.9 | 2.435 | 14 |
| 42.9 | 2.109 | 21 |
| 49.2 | 1.851 | 31 |
| 62.6 | 1.485 | 16 |
| 63.5 | 1.465 | 24 |

```
KThTlI6
1.0
8.609 0.000 0.000
-4.305 7.456 0.000
0.000 0.000 14.515
K Th Tl I
2 2 2 12
Cartesian
0.000 4.971 3.629 K
4.305 2.485 10.886 K
0.000 4.971 10.886 Th
4.305 2.485 3.629 Th
0.000 0.000 0.000 Tl
0.000 0.000 7.258 Tl
-1.251 2.791 9.096 I
-2.513 4.977 12.677 I
1.251 2.791 12.677 I
-1.263 7.144 9.096 I
3.042 0.312 1.839 I
1.791 2.479 5.419 I
2.513 4.977 9.096 I
1.263 7.144 12.677 I
5.567 0.312 5.419 I
3.054 4.665 1.839 I
6.818 2.479 1.839 I
5.556 4.665 5.419 I
```

***

(11)
Simulated powder XRD pattern
Compound: Mg2PtW
Radiation: Cu Kα
Structure: a crystal structure in Alexandria, relaxed with PBE

Main lines, by angle (5° ≤ 2θ ≤ 70°):
| 2theta | d [Å] | I (rel.) |
| --- | --- | --- |
| 9.5 | 9.272 | 1 |
| 19.1 | 4.636 | 100 |
| 36.4 | 2.467 | 61 |
| 38.2 | 2.359 | 94 |
| 38.9 | 2.318 | 30 |
| 44.6 | 2.034 | 61 |
| 48.9 | 1.862 | 27 |
| 59.3 | 1.557 | 16 |
| 59.9 | 1.545 | 5 |
| 64.4 | 1.448 | 21 |
| 65.3 | 1.429 | 19 |
| 67.8 | 1.382 | 21 |

```
Mg2PtW
1.0
1.448 0.836 9.272
-1.448 0.836 9.272
0.000 -1.671 9.272
Mg Pt W
2 1 1
Cartesian
0.000 0.000 6.836 Mg
0.000 0.000 20.979 Mg
0.000 0.000 13.908 Pt
0.000 0.000 0.000 W
```

***

(12)
Simulated powder XRD pattern
Compound: PrHoCu3
Radiation: Cu Kα
Structure: a crystal structure in Alexandria, relaxed with PBE

Main lines, by angle (5° ≤ 2θ ≤ 70°):
| 2theta | d [Å] | I (rel.) |
| --- | --- | --- |
| 24.9 | 3.579 | 26 |
| 28.0 | 3.192 | 12 |
| 33.3 | 2.691 | 100 |
| 34.3 | 2.618 | 56 |
| 36.2 | 2.480 | 12 |
| 40.3 | 2.239 | 9 |
| 41.1 | 2.199 | 38 |
| 41.8 | 2.161 | 30 |
| 48.4 | 1.879 | 19 |
| 55.1 | 1.666 | 35 |
| 65.3 | 1.429 | 18 |
| 65.9 | 1.418 | 15 |

```
PrHoCu3
1.0
1.879 -12.769 0.000
1.879 12.769 0.000
0.000 0.000 4.322
Pr Ho Cu
2 2 6
Cartesian
1.879 10.911 3.241 Pr
1.879 -10.911 1.080 Pr
1.879 7.526 1.080 Ho
1.879 -7.526 3.241 Ho
1.879 4.475 1.080 Cu
1.879 3.101 3.241 Cu
1.879 0.618 3.241 Cu
1.879 -0.618 1.080 Cu
1.879 -3.101 1.080 Cu
1.879 -4.475 3.241 Cu
```